Record 1
Structure and computed powder diffraction line list of Ga2S3 (the PBE geometry in the Materials Project; Cu Kα X-rays).
Kinematic intensities with the Lorentz-polarization factor, no thermal factor.

Atomic structure:
a b c (Å): 6.524 6.524 6.524
angles (deg): 146.94 60.88 130.43
Element x y z (fractional)
Ga: 0.160 0.000 0.160
Ga: 0.840 0.000 0.840
S: 0.238 0.238 0.000
S: 0.570 0.237 0.334
S: 0.903 0.237 0.666

Top 10 peaks for 10 to 80 degrees two-theta, in order of falling intensity:
2θ 29.1, intensity 1000
2θ 28.9, intensity 866
2θ 47.9, intensity 820
2θ 18.0, intensity 570
2θ 25.3, intensity 255
2θ 57.6, intensity 252
2θ 15.8, intensity 248
2θ 57.9, intensity 220
2θ 49.1, intensity 193
2θ 48.6, intensity 192

---

Record 2
Structure and computed powder diffraction line list of Sm6Cu8P8O3 (the PBE geometry in the Materials Project; Cu Kα X-rays).
Kinematic intensities with the Lorentz-polarization factor, no thermal factor.

Atomic structure:
a b c (Å): 13.431 13.431 5.557
angles (deg): 90.00 90.00 156.15
Element x y z (fractional)
Sm: 0.000 0.500 0.750
Sm: 0.186 0.283 0.234
Sm: 0.283 0.186 0.766
Sm: 0.500 0.000 0.250
Sm: 0.717 0.814 0.766
Sm: 0.814 0.717 0.234
Cu: 0.154 0.846 0.000
Cu: 0.154 0.846 0.500
Cu: 0.345 0.655 0.500
Cu: 0.346 0.654 0.000
Cu: 0.654 0.346 0.000
Cu: 0.655 0.345 0.500
Cu: 0.846 0.154 0.000
Cu: 0.846 0.154 0.500
P: 0.043 0.456 0.249
P: 0.151 0.359 0.745
P: 0.359 0.151 0.255
P: 0.456 0.043 0.751
P: 0.544 0.957 0.751
P: 0.641 0.849 0.255
P: 0.849 0.641 0.745
P: 0.957 0.544 0.249
O: 0.000 0.000 0.000
O: 0.000 0.000 0.500
O: 0.500 0.500 0.000

Top 10 peaks for 10 to 80 degrees two-theta, in order of falling intensity:
2θ 33.0, intensity 1000
2θ 38.4, intensity 797
2θ 24.8, intensity 670
2θ 46.2, intensity 577
2θ 35.1, intensity 567
2θ 58.0, intensity 350
2θ 34.1, intensity 309
2θ 50.8, intensity 270
2θ 58.7, intensity 250
2θ 53.2, intensity 231

---

Record 3
Structure and computed powder diffraction line list of Ho2S3 (the PBE geometry in the Materials Project; Cu Kα X-rays).
Kinematic intensities with the Lorentz-polarization factor, no thermal factor.

Atomic structure:
a b c (Å): 10.160 4.014 17.602
angles (deg): 90.00 98.61 90.00
Element x y z (fractional)
Ho: 0.013 0.250 0.101
Ho: 0.049 0.750 0.615
Ho: 0.311 0.250 0.480
Ho: 0.312 0.250 0.779
Ho: 0.330 0.750 0.282
Ho: 0.376 0.250 0.070
Ho: 0.624 0.750 0.930
Ho: 0.670 0.250 0.718
Ho: 0.688 0.750 0.221
Ho: 0.689 0.750 0.520
Ho: 0.951 0.250 0.385
Ho: 0.987 0.750 0.899
S: 0.115 0.750 0.467
S: 0.133 0.250 0.969
S: 0.138 0.750 0.782
S: 0.181 0.250 0.319
S: 0.210 0.750 0.131
S: 0.231 0.250 0.627
S: 0.448 0.250 0.925
S: 0.451 0.750 0.424
S: 0.493 0.250 0.232
S: 0.507 0.750 0.768
S: 0.549 0.250 0.576
S: 0.552 0.750 0.075
S: 0.769 0.750 0.373
S: 0.790 0.250 0.869
S: 0.819 0.750 0.681
S: 0.862 0.250 0.218
S: 0.867 0.750 0.031
S: 0.885 0.250 0.533

Top 10 peaks for 10 to 80 degrees two-theta, in order of falling intensity:
2θ 44.3, intensity 1000
2θ 27.0, intensity 977
2θ 23.5, intensity 856
2θ 36.6, intensity 771
2θ 40.0, intensity 767
2θ 25.0, intensity 722
2θ 28.5, intensity 710
2θ 44.9, intensity 706
2θ 26.6, intensity 617
2θ 29.4, intensity 609

---

Record 4
Structure and computed powder diffraction line list of Li2CuSiO4 (the PBE geometry in the Materials Project; Cu Kα X-rays).
Kinematic intensities with the Lorentz-polarization factor, no thermal factor.

Atomic structure:
a b c (Å): 6.895 5.147 10.095
angles (deg): 90.00 90.19 90.00
Element x y z (fractional)
Li: 0.004 0.244 0.156
Li: 0.004 0.256 0.656
Li: 0.239 0.121 0.842
Li: 0.239 0.379 0.342
Li: 0.761 0.621 0.658
Li: 0.761 0.879 0.158
Li: 0.996 0.744 0.344
Li: 0.996 0.756 0.844
Cu: 0.499 0.226 0.634
Cu: 0.499 0.274 0.134
Cu: 0.501 0.726 0.866
Cu: 0.501 0.774 0.366
Si: 0.241 0.749 0.102
Si: 0.241 0.751 0.602
Si: 0.759 0.249 0.398
Si: 0.759 0.251 0.898
O: 0.041 0.638 0.661
O: 0.041 0.862 0.161
O: 0.251 0.712 0.439
O: 0.251 0.788 0.939
O: 0.252 0.066 0.640
O: 0.252 0.434 0.140
O: 0.440 0.611 0.667
O: 0.440 0.889 0.167
O: 0.560 0.111 0.833
O: 0.560 0.389 0.333
O: 0.748 0.566 0.860
O: 0.748 0.934 0.360
O: 0.749 0.212 0.061
O: 0.749 0.288 0.561
O: 0.959 0.138 0.839
O: 0.959 0.362 0.339

Top 10 peaks for 10 to 80 degrees two-theta, in order of falling intensity:
2θ 12.8, intensity 1000
2θ 28.0, intensity 881
2θ 36.0, intensity 551
2θ 35.6, intensity 402
2θ 21.5, intensity 328
2θ 21.8, intensity 265
2θ 34.9, intensity 259
2θ 24.7, intensity 174
2θ 46.8, intensity 168
2θ 38.0, intensity 145

---

Record 5
Structure and computed powder diffraction line list of Nd6Fe13Ge (the PBE geometry in the Materials Project; Cu Kα X-rays).
Kinematic intensities with the Lorentz-polarization factor, no thermal factor.

Atomic structure:
a b c (Å): 12.865 12.865 12.865
angles (deg): 143.67 143.67 52.33
Element x y z (fractional)
Nd: 0.023 0.523 0.168
Nd: 0.108 0.108 0.000
Nd: 0.145 0.977 0.500
Nd: 0.355 0.855 0.832
Nd: 0.392 0.392 0.000
Nd: 0.477 0.645 0.500
Nd: 0.523 0.355 0.500
Nd: 0.608 0.608 0.000
Nd: 0.645 0.145 0.168
Nd: 0.855 0.023 0.500
Nd: 0.892 0.892 0.000
Nd: 0.977 0.477 0.832
Fe: 0.000 0.500 0.500
Fe: 0.018 0.291 0.500
Fe: 0.065 0.209 0.274
Fe: 0.119 0.619 0.859
Fe: 0.209 0.482 0.500
Fe: 0.209 0.935 0.144
Fe: 0.240 0.740 0.859
Fe: 0.260 0.119 0.500
Fe: 0.291 0.435 0.726
Fe: 0.291 0.791 0.273
Fe: 0.381 0.240 0.500
Fe: 0.435 0.709 0.144
Fe: 0.482 0.982 0.273
Fe: 0.500 0.000 0.500
Fe: 0.518 0.018 0.727
Fe: 0.565 0.291 0.856
Fe: 0.619 0.760 0.500
Fe: 0.709 0.209 0.727
Fe: 0.709 0.565 0.274
Fe: 0.740 0.881 0.500
Fe: 0.760 0.260 0.141
Fe: 0.791 0.065 0.856
Fe: 0.791 0.518 0.500
Fe: 0.881 0.381 0.141
Fe: 0.935 0.791 0.726
Fe: 0.982 0.709 0.500
Ge: 0.250 0.250 0.000
Ge: 0.750 0.750 0.000

Top 10 peaks for 10 to 80 degrees two-theta, in order of falling intensity:
2θ 31.6, intensity 1000
2θ 35.4, intensity 727
2θ 27.4, intensity 672
2θ 38.4, intensity 604
2θ 46.9, intensity 361
2θ 43.4, intensity 316
2θ 58.3, intensity 306
2θ 38.8, intensity 292
2θ 67.8, intensity 290
2θ 34.9, intensity 284

---

Record 6
Structure and computed powder diffraction line list of Lu2C3 (the PBE geometry in the Materials Project; Cu Kα X-rays).
Kinematic intensities with the Lorentz-polarization factor, no thermal factor.

Atomic structure:
a b c (Å): 6.938 6.938 6.938
angles (deg): 109.47 109.47 109.47
Element x y z (fractional)
Lu: 0.000 0.100 0.500
Lu: 0.000 0.600 0.500
Lu: 0.100 0.500 0.000
Lu: 0.400 0.400 0.400
Lu: 0.500 0.000 0.100
Lu: 0.500 0.000 0.600
Lu: 0.600 0.500 0.000
Lu: 0.900 0.900 0.900
C: 0.041 0.791 0.250
C: 0.209 0.959 0.250
C: 0.250 0.041 0.791
C: 0.250 0.209 0.959
C: 0.291 0.541 0.750
C: 0.459 0.709 0.750
C: 0.541 0.750 0.291
C: 0.709 0.750 0.459
C: 0.750 0.291 0.541
C: 0.750 0.459 0.709
C: 0.791 0.250 0.041
C: 0.959 0.250 0.209

Top 10 peaks for 10 to 80 degrees two-theta, in order of falling intensity:
2θ 31.6, intensity 1000
2θ 35.4, intensity 937
2θ 58.8, intensity 621
2θ 27.3, intensity 478
2θ 42.2, intensity 475
2θ 63.6, intensity 282
2θ 53.7, intensity 275
2θ 77.2, intensity 186
2θ 56.3, intensity 148
2θ 72.8, intensity 113